AcNdSmEr: calculated powder X-ray diffraction pattern (Cu Kα (weighted mean of Kα1 and Kα2)), based on the PBE geometry in Alexandria.

Top 8 peaks for 10 to 90 degrees two-theta, in order of falling intensity:
(1 0 2), 2θ = 31.48°, I = 100; (1 0 1), 2θ = 28.62°, I = 55; (0 0 4), 2θ = 29.96°, I = 34; (1 1 4), 2θ = 58.33°, I = 32; (0 1 3), 2θ = 35.80°, I = 30; (1 1 0), 2θ = 48.81°, I = 28; (1 0 6), 2θ = 54.16°, I = 20; (0 2 2), 2θ = 59.24°, I = 17

Cell and atoms:
Cell: 3.732 3.732 11.929 Å, 90.00 90.00 120.00°
Atoms (fractional coordinates):
Ac: 0.000 0.000 0.000
Nd: 0.667 0.333 0.736
Sm: 0.333 0.667 0.490
Er: 0.667 0.333 0.255